1.
Structure and theoretical powder diffraction line list of Ba2TlCu3O6 (a DFT-relaxed cell (GGA-PBE, Alexandria); a wavelength of 1.5418 Å).

Largest 10 diffraction maxima, by angle, 10 to 90 degrees two-theta:
hkl  Position (°2θ)  Rel. int.
1 0 0  22.82  160
1 0 3  31.84  1000
1 1 0  32.50  573
1 0 4  37.50  228
1 1 3  39.54  159
2 0 0  46.62  296
1 1 6  56.31  131
2 1 3  57.57  370
2 1 4  61.30  105
3 1 0  77.50  149

Structure:
Cell lengths 3.8963, 3.8963, 12.1732 Å; angles 90.00, 90.00, 90.00 degrees
Space group P4/mmm (No. 123)
One atom of each set of equivalent atoms:
1 Ba 0.0000 0.0000 0.1960 x2
2 Tl 0.0000 0.0000 0.5000 x1
3 Cu 0.5000 0.5000 0.0000 x1
4 Cu 0.5000 0.5000 0.3624 x2
5 O 0.0000 0.5000 0.3765 x4
6 O 0.5000 0.5000 0.1488 x2

2.
Structure and theoretical powder diffraction line list of Pa3FeTe2 (a DFT-relaxed cell (GGA-PBE, Alexandria); a wavelength of 1.5418 Å).

Largest 10 diffraction maxima, by angle, 10 to 90 degrees two-theta:
hkl  Position (°2θ)  Rel. int.
1 3 -1  26.36  252
2 0 -2  29.95  509
1 3 1  30.15  1000
1 3 -2  32.57  151
0 0 3  37.56  121
1 3 -3  41.99  284
2 0 2  42.19  163
3 3 -1  44.05  470
2 6 -2  54.24  145
4 0 0  54.34  117

Structure:
Cell lengths 7.1306, 12.3168, 7.5841 Å; angles 90.00, 108.69, 90.00 degrees
Space group C2/m (No. 12)
One atom of each set of equivalent atoms:
1 Pa 0.1922 0.0000 0.1970 x4
2 Pa 0.2457 0.1882 0.7948 x8
3 Fe 0.0000 0.1672 0.0000 x4
4 Te 0.0000 0.0000 0.5000 x2
5 Te 0.0000 0.3504 0.5000 x4
6 Te 0.0000 0.5000 0.0000 x2

3.
Structure and theoretical powder diffraction line list of Tl4SbPt (a DFT-relaxed cell (GGA-PBE, Alexandria); a wavelength of 1.5418 Å).

Largest 10 diffraction maxima, by angle, 10 to 90 degrees two-theta:
hkl  Position (°2θ)  Rel. int.
1 1 1  17.41  143
2 2 0  28.61  194
3 1 1  33.69  1000
2 2 2  35.23  491
4 0 0  40.91  90
3 3 3  54.00  354
4 4 0  59.24  322
5 3 3  69.91  124
6 2 2  70.83  199
7 3 1  84.30  229

Structure:
Cell lengths 8.8240, 8.8240, 8.8240 Å; angles 90.00, 90.00, 90.00 degrees
Space group F-43m (No. 216)
One atom of each set of equivalent atoms:
1 Tl 0.1247 0.1247 0.1247 x16
2 Sb 0.0000 0.0000 0.5000 x4
3 Pt 0.2500 0.2500 0.7500 x4

4.
Structure and theoretical powder diffraction line list of Ac4Pr2Co (a DFT-relaxed cell (GGA-PBE, Alexandria); a wavelength of 1.5418 Å).

Largest 10 diffraction maxima, by angle, 10 to 90 degrees two-theta:
hkl  Position (°2θ)  Rel. int.
1 0 4  26.30  380
0 0 18  27.82  1000
0 1 11  30.81  973
1 0 22  43.21  270
1 1 0  45.04  395
1 0 25  47.29  109
0 1 29  53.06  174
1 1 18  53.79  436
2 0 11  55.57  189
1 2 11  74.22  162

Structure:
Cell lengths 4.0252, 4.0252, 57.6124 Å; angles 90.00, 90.00, 120.00 degrees
Space group R-3m (No. 166, hexagonal axes)
One atom of each set of equivalent atoms:
1 Ac 0.0000 0.0000 0.0888 x6
2 Ac 0.0000 0.0000 0.3618 x6
3 Pr 0.0000 0.0000 0.1921 x6
4 Co 0.0000 0.0000 0.0000 x3

5.
Structure and theoretical powder diffraction line list of U2HPd9 (a DFT-relaxed cell (GGA-PBE, Alexandria); a wavelength of 1.5418 Å).

Largest 10 diffraction maxima, by angle, 10 to 90 degrees two-theta:
hkl  Position (°2θ)  Rel. int.
0 0 2  21.24  142
1 1 2  28.63  345
0 2 2  30.40  181
2 2 0  38.49  1000
0 2 3  38.96  754
0 4 0  43.79  347
2 0 3  45.62  479
2 4 3  65.08  329
2 6 0  76.91  157
4 2 3  79.24  188

Structure:
Cell lengths 5.6729, 8.2701, 8.3655 Å; angles 90.00, 90.00, 90.00 degrees
Space group Cmmm (No. 65)
One atom of each set of equivalent atoms:
1 U 0.0000 0.0000 0.2128 x4
2 H 0.0000 0.0000 0.5000 x2
3 Pd 0.0000 0.5000 0.1668 x4
4 Pd 0.0000 0.5000 0.5000 x2
5 Pd 0.2500 0.2500 0.0000 x4
6 Pd 0.2500 0.2500 0.3417 x8

6.
Structure and theoretical powder diffraction line list of Y2Hf2Si2C (a DFT-relaxed cell (GGA-PBE, Alexandria); a wavelength of 1.5418 Å).

Largest 10 diffraction maxima, by angle, 10 to 90 degrees two-theta:
hkl  Position (°2θ)  Rel. int.
0 0 2  11.68  899
1 1 2  31.34  1000
0 0 6  35.53  283
1 1 4  37.63  732
2 0 0  41.45  436
2 0 2  43.21  152
2 0 6  55.71  306
3 1 2  69.31  207
2 2 6  71.77  156
3 1 4  73.07  212

Structure:
Cell lengths 4.3573, 4.3573, 15.1580 Å; angles 90.00, 90.00, 90.00 degrees
Space group I4/mmm (No. 139)
One atom of each set of equivalent atoms:
1 Y 0.0000 0.0000 0.1690 x4
2 Hf 0.0000 0.5000 0.0000 x4
3 Si 0.0000 0.0000 0.3712 x4
4 C 0.0000 0.0000 0.0000 x2